This entry pairs a crystal structure of Mn2SnF6 with its theoretical XRD peak list. Radiation: Cu Kα X-rays. Structure: a cell relaxed with PBE+U.
Kinematic intensities with the Lorentz-polarization factor, no thermal factor.

Top 10 peaks for 2θ from 10° to 90°, low angle first:
two_theta, d/Å, I/Imax, h k l
17.08, 5.192, 59, 2 0 -1
23.53, 3.781, 100, 1 1 0
24.48, 3.636, 58, 2 0 -2
27.71, 3.219, 54, 2 0 1
29.29, 3.049, 25, 1 1 1
33.06, 2.709, 42, 3 1 -1
40.62, 2.221, 27, 4 0 -3
42.93, 2.107, 32, 3 1 1
43.96, 2.060, 35, 0 2 0
51.38, 1.778, 34, 5 1 -3

Lattice parameters (Å, degrees): 10.7913 4.1192 7.5080 90.00 117.98 90.00
Space group C2/m (No. 12)
One atom of each set of equivalent atoms:
Mn1 0.1752 0.0000 0.1046 [4 per cell]
Sn1 0.0000 0.0000 0.5000 [2 per cell]
F1 0.0136 0.0000 0.1887 [4 per cell]
F2 0.1481 0.5000 0.6089 [4 per cell]
F3 0.2145 0.5000 0.0862 [4 per cell]